Starting from a crystal structure in OQMD, relaxed with GGA+U, the X-ray diffraction stick pattern of PrCoO3 was simulated for copper Kα.

Main lines, low angle first (5 to 70 degrees two-theta):
2θ 23.24, I = 11, (1 0 1)
2θ 32.98, I = 100, (1 2 1)
2θ 33.28, I = 18, (2 0 0)
2θ 40.60, I = 9, (0 2 2)
2θ 40.91, I = 8, (2 2 0)
2θ 47.23, I = 12, (0 4 0)
2θ 47.50, I = 22, (2 0 2)
2θ 58.80, I = 26, (1 2 3)
2θ 59.29, I = 12, (3 2 1)
2θ 69.23, I = 12, (2 4 2)

Atomic structure:
Unit cell a=5.3847 b=7.6979 c=5.4436 alpha=90.00 beta=90.00 gamma=90.00
Element x y z (fractional)
Pr 0.0301 0.2500 0.0047
Pr 0.4699 0.7500 0.5047
Pr 0.5301 0.2500 0.4953
Pr 0.9699 0.7500 0.9953
Co 0.0000 0.0000 0.5000
Co 0.0000 0.5000 0.5000
Co 0.5000 0.0000 0.0000
Co 0.5000 0.5000 0.0000
O 0.0071 0.7500 0.4319
O 0.2193 0.5364 0.7805
O 0.2193 0.9636 0.7805
O 0.2807 0.0364 0.2805
O 0.2807 0.4636 0.2805
O 0.4929 0.2500 0.9319
O 0.5071 0.7500 0.0681
O 0.7193 0.5364 0.7195
O 0.7193 0.9636 0.7195
O 0.7807 0.0364 0.2195
O 0.7807 0.4636 0.2195
O 0.9929 0.2500 0.5681